No. 1
YThB8Rh8: calculated powder diffraction line list (Cu Kα (λ = 1.5418 Å)), based on a DFT-relaxed cell (PBE, the Materials Project).
Neutral-atom scattering factors, no anomalous dispersion.

Largest 6 diffraction maxima, in order of rising 2θ, 2θ = 10–90°:
28.90°, intensity 49.6; 35.52°, intensity 78.6; 39.42°, intensity 100.0; 39.52°, intensity 72.8; 44.75°, intensity 36.4; 63.81°, intensity 41.4

Crystal structure
Cell lengths 5.3630, 5.3630, 7.5583 Å; angles 90.00, 90.00, 90.00 degrees
Element x y z (fractional)
Y 0.0000 0.0000 0.0000
Th 0.5000 0.5000 0.5000
B 0.0000 0.3336 0.3486
B 0.0000 0.6664 0.3486
B 0.1681 0.5000 0.8498
B 0.3336 0.0000 0.6514
B 0.5000 0.1681 0.1502
B 0.5000 0.8319 0.1502
B 0.6664 0.0000 0.6514
B 0.8319 0.5000 0.8498
Rh 0.0000 0.2494 0.6467
Rh 0.0000 0.7506 0.6467
Rh 0.2494 0.0000 0.3533
Rh 0.2501 0.5000 0.1425
Rh 0.5000 0.2501 0.8575
Rh 0.5000 0.7499 0.8575
Rh 0.7499 0.5000 0.1425
Rh 0.7506 0.0000 0.3533

No. 2
TmB2Rh3: calculated powder diffraction line list (Cu Kα (λ = 1.5418 Å)), based on a DFT-relaxed cell (PBE, the Materials Project).
Neutral-atom scattering factors, no anomalous dispersion.

Largest 6 diffraction maxima, in order of rising 2θ, 2θ = 10–90°:
34.52°, intensity 83.1; 38.42°, intensity 100.0; 44.30°, intensity 48.7; 60.05°, intensity 33.8; 69.49°, intensity 19.6; 72.79°, intensity 30.6

Crystal structure
Cell lengths 5.4109, 5.4109, 3.1225 Å; angles 90.00, 90.00, 120.00 degrees
Element x y z (fractional)
Tm 0.0000 0.0000 0.0000
B 0.3333 0.6667 0.0000
B 0.6667 0.3333 0.0000
Rh 0.0000 0.5000 0.5000
Rh 0.5000 0.0000 0.5000
Rh 0.5000 0.5000 0.5000

No. 3
UBRh3: calculated powder diffraction line list (Cu Kα (λ = 1.5418 Å)), based on a DFT-relaxed cell (PBE, the Materials Project).
Neutral-atom scattering factors, no anomalous dispersion.

Largest 6 diffraction maxima, in order of rising 2θ, 2θ = 10–90°:
20.98°, intensity 12.2; 29.84°, intensity 14.9; 36.77°, intensity 100.0; 42.71°, intensity 52.1; 62.00°, intensity 34.6; 74.30°, intensity 39.0

Crystal structure
Cell lengths 4.2340, 4.2340, 4.2340 Å; angles 90.00, 90.00, 90.00 degrees
Element x y z (fractional)
U 0.0000 0.0000 0.0000
B 0.5000 0.5000 0.5000
Rh 0.0000 0.5000 0.5000
Rh 0.5000 0.0000 0.5000
Rh 0.5000 0.5000 0.0000

No. 4
YU2B12Rh12: calculated powder diffraction line list (Cu Kα (λ = 1.5418 Å)), based on a DFT-relaxed cell (PBE, the Materials Project).
Neutral-atom scattering factors, no anomalous dispersion.

Largest 6 diffraction maxima, in order of rising 2θ, 2θ = 10–90°:
29.09°, intensity 38.9; 33.65°, intensity 40.7; 35.72°, intensity 67.6; 39.63°, intensity 100.0; 39.79°, intensity 71.7; 45.02°, intensity 28.9

Crystal structure
Cell lengths 5.3356, 5.3356, 22.5171 Å; angles 90.00, 90.00, 90.00 degrees
Element x y z (fractional)
Y 0.0000 0.0000 0.1667
Y 0.0000 0.0000 0.8333
U 0.0000 0.0000 0.5000
U 0.5000 0.5000 0.0000
U 0.5000 0.5000 0.3334
U 0.5000 0.5000 0.6666
B 0.0000 0.3333 0.2839
B 0.0000 0.3329 0.6181
B 0.0000 0.3332 0.9511
B 0.0000 0.6667 0.2839
B 0.0000 0.6671 0.6181
B 0.0000 0.6668 0.9511
B 0.1672 0.5000 0.4508
B 0.1693 0.5000 0.1166
B 0.1687 0.5000 0.7835
B 0.3332 0.0000 0.0489
B 0.3329 0.0000 0.3819
B 0.3333 0.0000 0.7161
B 0.5000 0.1672 0.5492
B 0.5000 0.1687 0.2165
B 0.5000 0.1693 0.8834
B 0.5000 0.8313 0.2165
B 0.5000 0.8307 0.8834
B 0.5000 0.8328 0.5492
B 0.6668 0.0000 0.0489
B 0.6671 0.0000 0.3819
B 0.6667 0.0000 0.7161
B 0.8307 0.5000 0.1166
B 0.8313 0.5000 0.7835
B 0.8328 0.5000 0.4508
Rh 0.0000 0.2520 0.3826
Rh 0.0000 0.2520 0.7152
Rh 0.0000 0.2528 0.0485
Rh 0.0000 0.7472 0.0485
Rh 0.0000 0.7480 0.3826
Rh 0.0000 0.7480 0.7152
Rh 0.2479 0.5000 0.5496
Rh 0.2501 0.5000 0.2159
Rh 0.2500 0.5000 0.8828
Rh 0.2520 0.0000 0.2848
Rh 0.2520 0.0000 0.6174
Rh 0.2528 0.0000 0.9515
Rh 0.5000 0.2479 0.4504
Rh 0.5000 0.2500 0.1172
Rh 0.5000 0.2501 0.7841
Rh 0.5000 0.7500 0.1172
Rh 0.5000 0.7499 0.7841
Rh 0.5000 0.7521 0.4504
Rh 0.7472 0.0000 0.9515
Rh 0.7480 0.0000 0.2848
Rh 0.7480 0.0000 0.6174
Rh 0.7499 0.5000 0.2159
Rh 0.7500 0.5000 0.8828
Rh 0.7521 0.5000 0.5496

No. 5
YB4Rh7: calculated powder diffraction line list (Cu Kα (λ = 1.5418 Å)), based on a DFT-relaxed cell (PBE, the Materials Project).
Neutral-atom scattering factors, no anomalous dispersion.

Largest 6 diffraction maxima, in order of rising 2θ, 2θ = 10–90°:
36.06°, intensity 51.6; 37.48°, intensity 100.0; 45.15°, intensity 33.7; 49.19°, intensity 27.9; 60.08°, intensity 23.0; 76.48°, intensity 23.9

Crystal structure
Cell lengths 2.9141, 9.6059, 5.5377 Å; angles 90.00, 90.00, 90.00 degrees
Element x y z (fractional)
Y 0.0000 0.0000 0.0000
B 0.0000 0.1672 0.4997
B 0.0000 0.3338 0.0003
B 0.0000 0.6662 0.0003
B 0.0000 0.8328 0.4997
Rh 0.0000 0.5000 0.4997
Rh 0.5000 0.0000 0.4968
Rh 0.5000 0.2495 0.7506
Rh 0.5000 0.2539 0.2540
Rh 0.5000 0.5000 0.9944
Rh 0.5000 0.7461 0.2540
Rh 0.5000 0.7505 0.7506

No. 6
Y2B6Rh9: calculated powder diffraction line list (Cu Kα (λ = 1.5418 Å)), based on a DFT-relaxed cell (PBE, the Materials Project).
Neutral-atom scattering factors, no anomalous dispersion.

Largest 6 diffraction maxima, in order of rising 2θ, 2θ = 10–90°:
31.20°, intensity 25.4; 36.39°, intensity 31.0; 37.00°, intensity 100.0; 45.22°, intensity 22.2; 49.15°, intensity 50.2; 66.67°, intensity 20.5

Crystal structure
Cell lengths 5.6111, 5.6111, 8.6007 Å; angles 90.00, 90.00, 120.00 degrees
Element x y z (fractional)
Y 0.0000 0.0000 0.2061
Y 0.0000 0.0000 0.7939
B 0.3333 0.6667 0.1675
B 0.3333 0.6667 0.5000
B 0.3333 0.6667 0.8325
B 0.6667 0.3333 0.1675
B 0.6667 0.3333 0.5000
B 0.6667 0.3333 0.8325
Rh 0.0000 0.5000 0.0000
Rh 0.0000 0.5000 0.3357
Rh 0.0000 0.5000 0.6643
Rh 0.5000 0.0000 0.0000
Rh 0.5000 0.0000 0.3357
Rh 0.5000 0.0000 0.6643
Rh 0.5000 0.5000 0.0000
Rh 0.5000 0.5000 0.3357
Rh 0.5000 0.5000 0.6643